No. 1
For Y2Ga12Pt, DFT lattice parameters and positions (PBE) gives the calculated X-ray diffraction stick pattern in this record (Cu Kα X-rays).
Lines closer than 0.1° are merged.

Principal peaks in the range 2θ = 10–90°, by intensity:
2θ = 41.62°, I = 1000; 2θ = 31.10°, I = 562; 2θ = 46.19°, I = 358; 2θ = 37.53°, I = 357; 2θ = 31.40°, I = 330; 2θ = 52.87°, I = 288; 2θ = 23.55°, I = 236; 2θ = 47.22°, I = 220

Crystal structure
a b c (Å): 6.135 6.135 15.360
angles (deg): 90.00 90.00 90.00
Atoms (fractional coordinates):
Y: 0.250 0.750 0.242
Y: 0.250 0.750 0.758
Y: 0.750 0.250 0.242
Y: 0.750 0.250 0.758
Ga: 0.000 0.000 0.091
Ga: 0.000 0.000 0.909
Ga: 0.000 0.500 0.091
Ga: 0.000 0.500 0.909
Ga: 0.085 0.585 0.431
Ga: 0.085 0.915 0.569
Ga: 0.250 0.250 0.190
Ga: 0.250 0.250 0.348
Ga: 0.250 0.250 0.652
Ga: 0.250 0.250 0.810
Ga: 0.415 0.585 0.569
Ga: 0.415 0.915 0.431
Ga: 0.500 0.000 0.091
Ga: 0.500 0.000 0.909
Ga: 0.500 0.500 0.091
Ga: 0.500 0.500 0.909
Ga: 0.585 0.085 0.569
Ga: 0.585 0.415 0.431
Ga: 0.750 0.750 0.190
Ga: 0.750 0.750 0.348
Ga: 0.750 0.750 0.652
Ga: 0.750 0.750 0.810
Ga: 0.915 0.085 0.431
Ga: 0.915 0.415 0.569
Pt: 0.250 0.750 0.000
Pt: 0.750 0.250 0.000

No. 2
For ZnGa6Pt, DFT lattice parameters and positions (PBE) gives the calculated X-ray diffraction stick pattern in this record (Cu Kα X-rays).
Lines closer than 0.1° are merged.

Principal peaks in the range 2θ = 10–90°, by intensity:
2θ = 40.19°, I = 1000; 2θ = 42.50°, I = 825; 2θ = 26.91°, I = 722; 2θ = 26.46°, I = 602; 2θ = 58.99°, I = 306; 2θ = 41.60°, I = 272; 2θ = 16.79°, I = 263; 2θ = 20.88°, I = 237

Crystal structure
a b c (Å): 5.523 5.523 5.523
angles (deg): 100.75 100.75 100.75
Atoms (fractional coordinates):
Zn: 0.000 0.000 0.000
Ga: 0.191 0.191 0.632
Ga: 0.191 0.632 0.191
Ga: 0.368 0.809 0.809
Ga: 0.632 0.191 0.191
Ga: 0.809 0.368 0.809
Ga: 0.809 0.809 0.368
Pt: 0.500 0.500 0.500

No. 3
For ZnGa4Pt, DFT lattice parameters and positions (PBE) gives the calculated X-ray diffraction stick pattern in this record (Cu Kα X-rays).
Lines closer than 0.1° are merged.

Principal peaks in the range 2θ = 10–90°, by intensity:
2θ = 39.93°, I = 1000; 2θ = 40.42°, I = 942; 2θ = 44.73°, I = 828; 2θ = 36.40°, I = 798; 2θ = 19.89°, I = 792; 2θ = 32.80°, I = 688; 2θ = 45.27°, I = 673; 2θ = 16.94°, I = 651

Crystal structure
a b c (Å): 5.235 6.226 6.400
angles (deg): 90.00 90.00 90.00
Atoms (fractional coordinates):
Zn: 0.000 0.000 0.000
Zn: 0.500 0.500 0.000
Ga: 0.181 0.319 0.760
Ga: 0.181 0.681 0.240
Ga: 0.275 0.156 0.343
Ga: 0.275 0.844 0.657
Ga: 0.725 0.156 0.657
Ga: 0.725 0.844 0.343
Ga: 0.819 0.319 0.240
Ga: 0.819 0.681 0.760
Pt: 0.500 0.000 0.000
Pt: 0.500 0.500 0.500

No. 4
For Zn3GaPt3, DFT lattice parameters and positions (PBE) gives the calculated X-ray diffraction stick pattern in this record (Cu Kα X-rays).
Lines closer than 0.1° are merged.

Principal peaks in the range 2θ = 10–90°, by intensity:
2θ = 41.70°, I = 1000; 2θ = 42.16°, I = 970; 2θ = 76.75°, I = 328; 2θ = 60.79°, I = 326; 2θ = 20.50°, I = 308; 2θ = 20.72°, I = 289; 2θ = 29.31°, I = 277; 2θ = 75.80°, I = 170

Crystal structure
a b c (Å): 5.260 5.260 5.260
angles (deg): 109.19 109.19 109.19
Atoms (fractional coordinates):
Zn: 0.000 0.500 0.500
Zn: 0.500 0.000 0.500
Zn: 0.500 0.500 0.000
Ga: 0.000 0.000 0.000
Pt: 0.000 0.000 0.500
Pt: 0.000 0.500 0.000
Pt: 0.500 0.000 0.000

No. 5
For ZnGa3Pt2, DFT lattice parameters and positions (PBE) gives the calculated X-ray diffraction stick pattern in this record (Cu Kα X-rays).
Lines closer than 0.1° are merged.

Principal peaks in the range 2θ = 10–90°, by intensity:
2θ = 42.80°, I = 1000; 2θ = 39.85°, I = 878; 2θ = 26.39°, I = 411; 2θ = 24.88°, I = 401; 2θ = 45.72°, I = 349; 2θ = 30.63°, I = 271; 2θ = 51.92°, I = 236; 2θ = 34.88°, I = 180

Crystal structure
a b c (Å): 3.969 8.283 5.837
angles (deg): 90.00 90.00 90.00
Atoms (fractional coordinates):
Zn: 0.000 0.082 0.000
Zn: 0.000 0.918 0.500
Ga: 0.000 0.283 0.596
Ga: 0.000 0.717 0.096
Ga: 0.500 0.206 0.269
Ga: 0.500 0.406 0.881
Ga: 0.500 0.594 0.381
Ga: 0.500 0.794 0.769
Pt: 0.000 0.410 0.198
Pt: 0.000 0.590 0.698
Pt: 0.500 0.099 0.688
Pt: 0.500 0.901 0.188

No. 6
For Zn5GaPt6, DFT lattice parameters and positions (PBE) gives the calculated X-ray diffraction stick pattern in this record (Cu Kα X-rays).
Lines closer than 0.1° are merged.

Principal peaks in the range 2θ = 10–90°, by intensity:
2θ = 40.32°, I = 1000; 2θ = 44.70°, I = 374; 2θ = 31.20°, I = 206; 2θ = 70.20°, I = 190; 2θ = 24.90°, I = 177; 2θ = 79.35°, I = 138; 2θ = 79.46°, I = 135; 2θ = 51.09°, I = 124

Crystal structure
a b c (Å): 7.337 7.337 7.337
angles (deg): 147.89 121.67 68.16
Atoms (fractional coordinates):
Zn: 0.000 0.000 0.000
Zn: 0.163 0.663 0.500
Zn: 0.326 0.326 0.000
Zn: 0.674 0.674 0.000
Zn: 0.837 0.337 0.500
Ga: 0.500 0.000 0.500
Pt: 0.089 0.834 0.255
Pt: 0.260 0.500 0.760
Pt: 0.421 0.166 0.255
Pt: 0.579 0.834 0.745
Pt: 0.740 0.500 0.240
Pt: 0.911 0.166 0.745

No. 7
For ZnGa2Pt2, DFT lattice parameters and positions (PBE) gives the calculated X-ray diffraction stick pattern in this record (Cu Kα X-rays).
Lines closer than 0.1° are merged.

Principal peaks in the range 2θ = 10–90°, by intensity:
2θ = 42.16°, I = 1000; 2θ = 77.04°, I = 257; 2θ = 29.46°, I = 246; 2θ = 23.96°, I = 215; 2θ = 61.14°, I = 174; 2θ = 16.90°, I = 122; 2θ = 77.12°, I = 85; 2θ = 69.30°, I = 66

Crystal structure
a b c (Å): 4.289 4.289 5.247
angles (deg): 90.00 90.00 120.00
Atoms (fractional coordinates):
Zn: 0.000 0.000 0.000
Ga: 0.333 0.667 0.348
Ga: 0.667 0.333 0.652
Pt: 0.333 0.667 0.829
Pt: 0.667 0.333 0.171

No. 8
For Zn3GaPt4, DFT lattice parameters and positions (PBE) gives the calculated X-ray diffraction stick pattern in this record (Cu Kα X-rays).
Lines closer than 0.1° are merged.

Principal peaks in the range 2θ = 10–90°, by intensity:
2θ = 40.31°, I = 1000; 2θ = 44.48°, I = 379; 2θ = 79.07°, I = 278; 2θ = 31.04°, I = 205; 2θ = 70.34°, I = 191; 2θ = 25.08°, I = 174; 2θ = 64.72°, I = 123; 2θ = 51.47°, I = 123

Crystal structure
a b c (Å): 7.664 7.664 7.664
angles (deg): 149.17 149.17 44.16
Atoms (fractional coordinates):
Zn: 0.000 0.000 0.000
Zn: 0.249 0.249 0.000
Zn: 0.751 0.751 0.000
Ga: 0.500 0.500 0.000
Pt: 0.123 0.623 0.500
Pt: 0.377 0.877 0.500
Pt: 0.623 0.123 0.500
Pt: 0.877 0.377 0.500

No. 9
For ZrGa2Pt8, DFT lattice parameters and positions (PBE) gives the calculated X-ray diffraction stick pattern in this record (Cu Kα X-rays).
Lines closer than 0.1° are merged.

Principal peaks in the range 2θ = 10–90°, by intensity:
2θ = 37.71°, I = 1000; 2θ = 38.04°, I = 881; 2θ = 38.97°, I = 855; 2θ = 40.62°, I = 787; 2θ = 43.75°, I = 719; 2θ = 45.77°, I = 535; 2θ = 45.95°, I = 377; 2θ = 46.20°, I = 222

Crystal structure
a b c (Å): 3.962 4.933 10.094
angles (deg): 93.78 97.15 112.90
Atoms (fractional coordinates):
Zr: 0.000 0.000 0.000
Ga: 0.376 0.522 0.347
Ga: 0.624 0.478 0.653
Pt: 0.021 0.879 0.287
Pt: 0.261 0.777 0.555
Pt: 0.319 0.751 0.822
Pt: 0.344 0.629 0.094
Pt: 0.656 0.371 0.906
Pt: 0.681 0.249 0.178
Pt: 0.739 0.223 0.445
Pt: 0.979 0.121 0.713

No. 10
For ZrGa2Pt6, DFT lattice parameters and positions (PBE) gives the calculated X-ray diffraction stick pattern in this record (Cu Kα X-rays).
Lines closer than 0.1° are merged.

Principal peaks in the range 2θ = 10–90°, by intensity:
2θ = 35.48°, I = 1000; 2θ = 38.89°, I = 840; 2θ = 44.61°, I = 322; 2θ = 45.59°, I = 311; 2θ = 49.69°, I = 287; 2θ = 46.98°, I = 280; 2θ = 40.20°, I = 238; 2θ = 28.55°, I = 212

Crystal structure
a b c (Å): 3.669 6.990 6.990
angles (deg): 121.35 90.00 90.00
Atoms (fractional coordinates):
Zr: 0.000 0.000 0.000
Ga: 0.500 0.545 0.825
Ga: 0.500 0.825 0.545
Pt: 0.000 0.181 0.544
Pt: 0.000 0.544 0.181
Pt: 0.000 0.606 0.606
Pt: 0.500 0.219 0.875
Pt: 0.500 0.297 0.297
Pt: 0.500 0.875 0.219

No. 11
For ZrGaPt4, DFT lattice parameters and positions (PBE) gives the calculated X-ray diffraction stick pattern in this record (Cu Kα X-rays).
Lines closer than 0.1° are merged.

Principal peaks in the range 2θ = 10–90°, by intensity:
2θ = 39.23°, I = 1000; 2θ = 40.25°, I = 708; 2θ = 46.20°, I = 454; 2θ = 46.27°, I = 333; 2θ = 32.71°, I = 295; 2θ = 67.45°, I = 293; 2θ = 39.60°, I = 182; 2θ = 31.08°, I = 179

Crystal structure
a b c (Å): 5.664 3.924 19.103
angles (deg): 90.00 90.00 90.00
Atoms (fractional coordinates):
Zr: 0.152 0.250 0.053
Zr: 0.348 0.750 0.553
Zr: 0.652 0.250 0.447
Zr: 0.848 0.750 0.947
Ga: 0.118 0.250 0.751
Ga: 0.382 0.750 0.251
Ga: 0.618 0.250 0.749
Ga: 0.882 0.750 0.249
Pt: 0.099 0.250 0.619
Pt: 0.117 0.250 0.885
Pt: 0.131 0.250 0.200
Pt: 0.151 0.250 0.465
Pt: 0.349 0.750 0.965
Pt: 0.369 0.750 0.700
Pt: 0.383 0.750 0.385
Pt: 0.401 0.750 0.119
Pt: 0.599 0.250 0.881
Pt: 0.617 0.250 0.615
Pt: 0.631 0.250 0.300
Pt: 0.651 0.250 0.035
Pt: 0.849 0.750 0.535
Pt: 0.869 0.750 0.800
Pt: 0.883 0.750 0.115
Pt: 0.901 0.750 0.381

No. 12
For Rb2Pu2GaS6, DFT lattice parameters and positions (PBE) gives the calculated X-ray diffraction stick pattern in this record (Cu Kα X-rays).
Lines closer than 0.1° are merged.

Principal peaks in the range 2θ = 10–90°, by intensity:
2θ = 11.31°, I = 1000; 2θ = 30.20°, I = 807; 2θ = 27.13°, I = 522; 2θ = 40.49°, I = 420; 2θ = 45.90°, I = 378; 2θ = 30.25°, I = 372; 2θ = 22.73°, I = 337; 2θ = 51.82°, I = 243

Crystal structure
a b c (Å): 6.849 6.849 8.146
angles (deg): 98.00 98.00 120.02
Atoms (fractional coordinates):
Rb: 0.167 0.833 0.000
Rb: 0.833 0.167 0.000
Pu: 0.333 0.667 0.500
Pu: 0.667 0.333 0.500
Ga: 0.000 0.000 0.500
S: 0.060 0.383 0.681
S: 0.247 0.247 0.327
S: 0.383 0.060 0.681
S: 0.617 0.940 0.319
S: 0.753 0.753 0.673
S: 0.940 0.617 0.319

No. 13
For Pu2Ga6Rh, DFT lattice parameters and positions (PBE) gives the calculated X-ray diffraction stick pattern in this record (Cu Kα X-rays).
Lines closer than 0.1° are merged.

Principal peaks in the range 2θ = 10–90°, by intensity:
2θ = 38.48°, I = 1000; 2θ = 37.06°, I = 432; 2θ = 23.63°, I = 370; 2θ = 29.93°, I = 337; 2θ = 34.18°, I = 293; 2θ = 62.18°, I = 277; 2θ = 57.91°, I = 179; 2θ = 48.34°, I = 178

Crystal structure
a b c (Å): 5.971 5.971 5.494
angles (deg): 90.00 90.00 120.00
Atoms (fractional coordinates):
Pu: 0.333 0.667 0.311
Pu: 0.667 0.333 0.689
Ga: 0.176 0.352 0.813
Ga: 0.176 0.824 0.813
Ga: 0.352 0.176 0.187
Ga: 0.648 0.824 0.813
Ga: 0.824 0.176 0.187
Ga: 0.824 0.648 0.187
Rh: 0.000 0.000 0.500